(1)
Simulated powder diffractogram
Compound: BaHClO
Radiation: λ = 1.5418 Å (Cu Kα)
Structure: a cell relaxed with PBE
Lines closer than 0.1° are merged.

Structural model:
Cell: 7.4810 4.4631 9.3815 Å, 90.00 90.00 90.00°
Atoms (fractional coordinates):
Ba1 0.1909 0.2500 0.1122
Ba2 0.3091 0.7500 0.6122
Ba3 0.6909 0.2500 0.3878
Ba4 0.8091 0.7500 0.8878
H1 0.2190 0.2500 0.4313
H2 0.2810 0.7500 0.9313
H3 0.7190 0.2500 0.0687
H4 0.7810 0.7500 0.5687
Cl1 0.0200 0.7500 0.3358
Cl2 0.4800 0.2500 0.8358
Cl3 0.5200 0.7500 0.1642
Cl4 0.9800 0.2500 0.6642
O1 0.1522 0.7500 0.9476
O2 0.3478 0.2500 0.4476
O3 0.6522 0.7500 0.5524
O4 0.8478 0.2500 0.0524

Largest 10 diffraction maxima, low angle first, 2θ from 5° to 70°:
- 2θ 22.06, I = 32
- 2θ 22.37, I = 100
- 2θ 25.10, I = 86
- 2θ 30.11, I = 61
- 2θ 32.66, I = 62
- 2θ 35.04, I = 45
- 2θ 37.10, I = 27
- 2θ 37.31, I = 34
- 2θ 40.42, I = 32
- 2θ 46.66, I = 38

***

(2)
Simulated powder diffractogram
Compound: BaHg2Cl2O2
Radiation: λ = 1.5418 Å (Cu Kα)
Structure: a cell relaxed with PBE
Lines closer than 0.1° are merged.

Structural model:
Cell: 12.1335 12.1335 4.3754 Å, 90.00 90.00 90.00°
Atoms (fractional coordinates):
Ba1 0.1360 0.3640 0.0000
Ba2 0.3640 0.8640 0.0000
Ba3 0.6360 0.1360 0.0000
Ba4 0.8640 0.6360 0.0000
Hg1 0.0778 0.8271 0.5000
Hg2 0.1729 0.0778 0.5000
Hg3 0.3271 0.5778 0.5000
Hg4 0.4222 0.3271 0.5000
Hg5 0.5778 0.6729 0.5000
Hg6 0.6729 0.4222 0.5000
Hg7 0.8271 0.9222 0.5000
Hg8 0.9222 0.1729 0.5000
Cl1 0.0000 0.0000 0.0000
Cl2 0.0000 0.5000 0.5000
Cl3 0.1726 0.6726 0.0000
Cl4 0.3274 0.1726 0.0000
Cl5 0.5000 0.0000 0.5000
Cl6 0.5000 0.5000 0.0000
Cl7 0.6726 0.8274 0.0000
Cl8 0.8274 0.3274 0.0000
O1 0.0864 0.2288 0.5000
O2 0.2288 0.9136 0.5000
O3 0.2712 0.4136 0.5000
O4 0.4136 0.7288 0.5000
O5 0.5864 0.2712 0.5000
O6 0.7288 0.5864 0.5000
O7 0.7712 0.0864 0.5000
O8 0.9136 0.7712 0.5000

Largest 10 diffraction maxima, low angle first, 2θ from 5° to 70°:
- 2θ 10.31, I = 35
- 2θ 20.30, I = 27
- 2θ 22.81, I = 46
- 2θ 26.16, I = 28
- 2θ 26.49, I = 48
- 2θ 30.37, I = 32
- 2θ 31.00, I = 100
- 2θ 36.81, I = 40
- 2θ 45.27, I = 46
- 2θ 52.07, I = 33

***

(3)
Simulated powder diffractogram
Compound: Ba2HoCl7
Radiation: λ = 1.5418 Å (Cu Kα)
Structure: a cell relaxed with PBE
Lines closer than 0.1° are merged.

Structural model:
Cell: 6.9030 15.7091 10.6315 Å, 90.00 90.68 90.00°
Atoms (fractional coordinates):
Ba1 0.2346 0.0609 0.3236
Ba2 0.2346 0.4391 0.8236
Ba3 0.2351 0.7202 0.4508
Ba4 0.2351 0.7798 0.9508
Ba5 0.7649 0.2202 0.0492
Ba6 0.7649 0.2798 0.5492
Ba7 0.7654 0.5609 0.1764
Ba8 0.7654 0.9391 0.6764
Ho1 0.2835 0.1268 0.7821
Ho2 0.2835 0.3732 0.2821
Ho3 0.7165 0.6268 0.7179
Ho4 0.7165 0.8732 0.2179
Cl1 0.0122 0.2432 0.3018
Cl2 0.0122 0.2568 0.8018
Cl3 0.0139 0.1050 0.5865
Cl4 0.0139 0.3950 0.0865
Cl5 0.2061 0.5394 0.2869
Cl6 0.2061 0.9606 0.7869
Cl7 0.2099 0.1396 0.0273
Cl8 0.2099 0.3604 0.5273
Cl9 0.3715 0.5710 0.6243
Cl10 0.3715 0.9290 0.1243
Cl11 0.4982 0.2283 0.2945
Cl12 0.4982 0.2717 0.7945
Cl13 0.4996 0.1045 0.5717
Cl14 0.4996 0.3955 0.0717
Cl15 0.5004 0.6045 0.9283
Cl16 0.5004 0.8955 0.4283
Cl17 0.5018 0.7283 0.2055
Cl18 0.5018 0.7717 0.7055
Cl19 0.6285 0.0710 0.8757
Cl20 0.6285 0.4290 0.3757
Cl21 0.7901 0.6396 0.4727
Cl22 0.7901 0.8604 0.9727
Cl23 0.7939 0.0394 0.2131
Cl24 0.7939 0.4606 0.7131
Cl25 0.9861 0.6050 0.9135
Cl26 0.9861 0.8950 0.4135
Cl27 0.9878 0.7432 0.1982
Cl28 0.9878 0.7568 0.6982

Largest 10 diffraction maxima, low angle first, 2θ from 5° to 70°:
- 2θ 21.28, I = 100
- 2θ 21.73, I = 42
- 2θ 21.97, I = 24
- 2θ 25.81, I = 28
- 2θ 33.14, I = 23
- 2θ 34.22, I = 41
- 2θ 35.30, I = 38
- 2θ 35.59, I = 36
- 2θ 37.93, I = 25
- 2θ 42.97, I = 28

***

(4)
Simulated powder diffractogram
Compound: Ba3InS4Cl
Radiation: λ = 1.5418 Å (Cu Kα)
Structure: a cell relaxed with PBE
Lines closer than 0.1° are merged.

Structural model:
Cell: 9.4375 9.4375 9.4375 Å, 126.63 126.63 78.86°
Atoms (fractional coordinates):
Ba1 0.1551 0.6551 0.8101
Ba2 0.2500 0.2500 0.0000
Ba3 0.3449 0.1551 0.5000
Ba4 0.6551 0.8449 0.5000
Ba5 0.7500 0.7500 0.0000
Ba6 0.8449 0.3449 0.1899
In1 0.2500 0.7500 0.5000
In2 0.7500 0.2500 0.5000
S1 0.0151 0.2007 0.5000
S2 0.2007 0.7007 0.1856
S3 0.2993 0.4849 0.5000
S4 0.4849 0.9849 0.1856
S5 0.5151 0.0151 0.8144
S6 0.7007 0.5151 0.5000
S7 0.7993 0.2993 0.8144
S8 0.9849 0.7993 0.5000
Cl1 0.0000 0.0000 0.0000
Cl2 0.5000 0.5000 0.0000

Largest 10 diffraction maxima, low angle first, 2θ from 5° to 70°:
- 2θ 24.28, I = 90
- 2θ 24.42, I = 32
- 2θ 29.87, I = 100
- 2θ 32.40, I = 19
- 2θ 33.43, I = 23
- 2θ 38.94, I = 40
- 2θ 42.90, I = 18
- 2θ 44.52, I = 24
- 2θ 48.02, I = 28
- 2θ 61.95, I = 18